Entry 1:
For BaZr5N7, the GGA-PBE geometry in Alexandria gives the simulated X-ray powder pattern in this record (CuKα).
Lines closer than 0.1° are merged.

Cell lengths 3.2767, 10.9629, 20.2027 Å; angles 90.00, 90.00, 90.00 degrees
Space group Cmcm (No. 63)
Unique sites:
Ba: 0.0000 0.2189 0.2500 (multiplicity 4)
Zr: 0.0000 0.0000 0.0000 (multiplicity 4)
Zr: 0.0000 0.2619 0.5743 (multiplicity 8)
Zr: 0.0000 0.4724 0.1521 (multiplicity 8)
N: 0.0000 0.0957 0.1011 (multiplicity 8)
N: 0.0000 0.1590 0.6590 (multiplicity 8)
N: 0.0000 0.3650 0.0314 (multiplicity 8)
N: 0.0000 0.4754 0.7500 (multiplicity 4)

Largest 6 diffraction maxima, by angle, 10° ≤ 2θ ≤ 90°:
d 2.869, I 100, (0 2 6); d 2.845, I 59, (1 1 3); d 2.741, I 36, (0 4 0); d 2.666, I 28, (1 1 4); d 2.371, I 37, (1 3 2); d 2.294, I 60, (1 3 3)

---

Entry 2:
For Ba3Na, the GGA-PBE geometry in Alexandria gives the simulated X-ray powder pattern in this record (CuKα).
Lines closer than 0.1° are merged.

Cell lengths 4.8440, 4.8688, 9.8651 Å; angles 90.00, 90.00, 90.00 degrees
Space group Pmmm (No. 47)
Unique sites:
Ba: 0.0000 0.0000 0.0000 (multiplicity 1)
Ba: 0.5000 0.5000 0.2717 (multiplicity 2)
Na: 0.0000 0.0000 0.5000 (multiplicity 1)

Largest 6 diffraction maxima, by angle, 10° ≤ 2θ ≤ 90°:
d 4.357, I 21, (1 0 1); d 3.461, I 100, (1 0 2); d 3.434, I 51, (1 1 0); d 2.003, I 19, (1 1 4); d 1.990, I 21, (1 2 2); d 1.985, I 21, (2 1 2)

---

Entry 3:
For BaNa3, the GGA-PBE geometry in Alexandria gives the simulated X-ray powder pattern in this record (CuKα).
Lines closer than 0.1° are merged.

Cell lengths 4.1720, 6.4174, 6.7777 Å; angles 90.00, 90.00, 90.00 degrees
Space group Pmm2 (No. 25)
Unique sites:
Ba: 0.0000 0.0000 0.0000 (multiplicity 1)
Na: 0.0000 0.5000 0.6165 (multiplicity 1)
Na: 0.5000 0.0000 0.4972 (multiplicity 1)
Na: 0.5000 0.5000 0.1525 (multiplicity 1)

Largest 6 diffraction maxima, by angle, 10° ≤ 2θ ≤ 90°:
d 6.778, I 45, (0 0 1); d 6.417, I 43, (0 1 0); d 4.660, I 45, (0 1 1); d 3.553, I 32, (1 0 1); d 3.108, I 100, (1 1 1); d 2.997, I 35, (0 1 2)

---

Entry 4:
For Ba2Na3, the GGA-PBE geometry in Alexandria gives the simulated X-ray powder pattern in this record (CuKα).
Lines closer than 0.1° are merged.

Cell lengths 7.2649, 13.1391, 10.3057 Å; angles 90.00, 90.00, 90.00 degrees
Space group Cmce (No. 64)
Unique sites:
Ba: 0.0000 0.1640 0.0996 (multiplicity 8)
Na: 0.0000 0.0000 0.5000 (multiplicity 4)
Na: 0.2500 0.0932 0.7500 (multiplicity 8)

Largest 6 diffraction maxima, by angle, 10° ≤ 2θ ≤ 90°:
d 5.411, I 32, (1 1 1); d 4.003, I 100, (1 1 2); d 3.632, I 24, (2 0 0); d 3.525, I 90, (1 3 1); d 3.041, I 75, (0 2 3); d 2.228, I 23, (1 5 2)

---

Entry 5:
For Ba5Na6, the GGA-PBE geometry in Alexandria gives the simulated X-ray powder pattern in this record (CuKα).
Lines closer than 0.1° are merged.

Cell lengths 11.4530, 18.2188, 6.6927 Å; angles 90.00, 125.69, 90.00 degrees
Space group C2/m (No. 12)
Unique sites:
Ba: 0.0000 0.0000 0.0000 (multiplicity 2)
Ba: 0.0000 0.1479 0.5000 (multiplicity 4)
Ba: 0.0000 0.2876 0.0000 (multiplicity 4)
Na: 0.1878 0.3662 0.6877 (multiplicity 8)
Na: 0.1886 0.5000 0.1894 (multiplicity 4)

Largest 6 diffraction maxima, by angle, 10° ≤ 2θ ≤ 90°:
d 8.284, I 36, (1 1 0); d 4.651, I 45, (2 0 0); d 4.497, I 48, (1 3 -1); d 3.490, I 93, (0 4 1); d 3.346, I 43, (2 0 -2); d 3.233, I 100, (1 3 1)

---

Entry 6:
For BaNa6, the GGA-PBE geometry in Alexandria gives the simulated X-ray powder pattern in this record (CuKα).
Lines closer than 0.1° are merged.

Cell lengths 5.5875, 5.5875, 10.0552 Å; angles 90.00, 90.00, 90.00 degrees
Space group P4/mmm (No. 123)
Unique sites:
Ba: 0.0000 0.0000 0.0000 (multiplicity 1)
Na: 0.0000 0.0000 0.5000 (multiplicity 1)
Na: 0.0000 0.5000 0.2913 (multiplicity 4)
Na: 0.5000 0.5000 0.0000 (multiplicity 1)

Largest 6 diffraction maxima, by angle, 10° ≤ 2θ ≤ 90°:
d 5.588, I 50, (1 0 0); d 3.737, I 39, (1 0 2); d 3.677, I 53, (1 1 1); d 3.107, I 100, (1 1 2); d 2.794, I 41, (2 0 0); d 1.667, I 30, (3 1 2)

---

Entry 7:
For BaNa3, the GGA-PBE geometry in Alexandria gives the simulated X-ray powder pattern in this record (CuKα).
Lines closer than 0.1° are merged.

Cell lengths 10.0303, 10.0303, 12.3855 Å; angles 90.00, 90.00, 120.00 degrees
Space group P6_3cm (No. 185)
Unique sites:
Ba: 0.0000 0.4048 0.0000 (multiplicity 6)
Na: 0.0000 0.0000 0.4899 (multiplicity 2)
Na: 0.0000 0.2699 0.6694 (multiplicity 6)
Na: 0.0000 0.2799 0.3279 (multiplicity 6)
Na: 0.3333 0.6667 0.2488 (multiplicity 4)

Largest 6 diffraction maxima, by angle, 10° ≤ 2θ ≤ 90°:
d 6.193, I 46, (0 0 2); d 4.649, I 81, (1 1 1); d 3.556, I 82, (2 0 2); d 3.187, I 100, (1 1 3); d 3.174, I 61, (2 1 1); d 2.365, I 55, (3 1 1)

---

Entry 8:
For Ba2Na5, the GGA-PBE geometry in Alexandria gives the simulated X-ray powder pattern in this record (CuKα).
Lines closer than 0.1° are merged.

Cell lengths 10.1551, 16.6512, 7.5401 Å; angles 90.00, 90.00, 90.00 degrees
Space group Ibam (No. 72)
Unique sites:
Ba: 0.1637 0.0884 0.0000 (multiplicity 8)
Na: 0.0000 0.2876 0.2500 (multiplicity 8)
Na: 0.0000 0.5000 0.2500 (multiplicity 4)
Na: 0.2259 0.1579 0.5000 (multiplicity 8)

Largest 6 diffraction maxima, by angle, 10° ≤ 2θ ≤ 90°:
d 8.670, I 49, (1 1 0); d 4.896, I 100, (1 2 1); d 3.457, I 43, (1 1 2); d 3.431, I 91, (1 4 1); d 3.355, I 85, (2 3 1); d 3.317, I 58, (3 1 0)

---

Entry 9:
For BaNa3, the GGA-PBE geometry in Alexandria gives the simulated X-ray powder pattern in this record (CuKα).
Lines closer than 0.1° are merged.

Cell lengths 5.4261, 6.1622, 10.5204 Å; angles 90.00, 90.00, 90.00 degrees
Space group Immm (No. 71)
Unique sites:
Ba: 0.0000 0.0000 0.0000 (multiplicity 2)
Na: 0.0000 0.0000 0.5000 (multiplicity 2)
Na: 0.0000 0.5000 0.2352 (multiplicity 4)

Largest 6 diffraction maxima, by angle, 10° ≤ 2θ ≤ 90°:
d 5.317, I 42, (0 1 1); d 5.260, I 23, (0 0 2); d 4.822, I 40, (1 0 1); d 4.072, I 24, (1 1 0); d 3.220, I 100, (1 1 2); d 1.610, I 24, (2 2 4)

---

Entry 10:
For Ba3Na8, the GGA-PBE geometry in Alexandria gives the simulated X-ray powder pattern in this record (CuKα).
Lines closer than 0.1° are merged.

Cell lengths 14.3594, 4.3602, 16.4966 Å; angles 90.00, 106.00, 90.00 degrees
Space group C2/m (No. 12)
Unique sites:
Ba: 0.0000 0.0000 0.0000 (multiplicity 2)
Ba: 0.0925 0.0000 0.6273 (multiplicity 4)
Na: 0.0471 0.5000 0.8141 (multiplicity 4)
Na: 0.1545 0.5000 0.4364 (multiplicity 4)
Na: 0.1616 0.0000 0.2532 (multiplicity 4)
Na: 0.2492 0.0000 0.9021 (multiplicity 4)

Largest 6 diffraction maxima, by angle, 10° ≤ 2θ ≤ 90°:
d 6.901, I 17, (2 0 0); d 6.105, I 28, (2 0 -2); d 4.158, I 27, (1 1 0); d 3.241, I 25, (2 0 -5); d 3.194, I 25, (4 0 1); d 3.148, I 100, (1 1 3)

---

Entry 11:
For BaNa11, the GGA-PBE geometry in Alexandria gives the simulated X-ray powder pattern in this record (CuKα).
Lines closer than 0.1° are merged.

Cell lengths 11.9507, 11.9507, 3.8753 Å; angles 90.00, 90.00, 120.00 degrees
Space group P6/mmm (No. 191)
Unique sites:
Ba: 0.0000 0.0000 0.0000 (multiplicity 1)
Na: 0.0000 0.5000 0.0000 (multiplicity 3)
Na: 0.1780 0.3560 0.5000 (multiplicity 6)
Na: 0.3333 0.6667 0.0000 (multiplicity 2)

Largest 6 diffraction maxima, by angle, 10° ≤ 2θ ≤ 90°:
d 5.975, I 41, (1 1 0); d 3.912, I 43, (2 1 0); d 3.251, I 67, (1 1 1); d 3.102, I 91, (2 0 1); d 2.988, I 100, (2 2 0); d 2.577, I 37, (3 0 1)

---

Entry 12:
For Ba6Na2Nb2P2O17, the GGA-PBE geometry in Alexandria gives the simulated X-ray powder pattern in this record (CuKα).
Lines closer than 0.1° are merged.

Cell lengths 5.9084, 5.9084, 14.7622 Å; angles 90.00, 90.00, 120.00 degrees
Space group P-3m1 (No. 164)
Unique sites:
Ba: 0.0000 0.0000 0.0000 (multiplicity 1)
Ba: 0.0000 0.0000 0.5000 (multiplicity 1)
Ba: 0.3333 0.6667 0.3199 (multiplicity 2)
Ba: 0.3333 0.6667 0.8447 (multiplicity 2)
Na: 0.0000 0.0000 0.2534 (multiplicity 2)
Nb: 0.3333 0.6667 0.0883 (multiplicity 2)
P: 0.3333 0.6667 0.6045 (multiplicity 2)
O: 0.0000 0.5000 0.0000 (multiplicity 3)
O: 0.1764 0.3528 0.1610 (multiplicity 6)
O: 0.1898 0.3795 0.6425 (multiplicity 6)
O: 0.3333 0.6667 0.5001 (multiplicity 2)

Largest 6 diffraction maxima, by angle, 10° ≤ 2θ ≤ 90°:
d 4.205, I 33, (1 0 2); d 2.993, I 88, (0 1 4); d 2.954, I 100, (1 1 0); d 2.417, I 25, (0 2 2); d 2.103, I 53, (2 0 4); d 1.713, I 33, (1 2 4)